Diffraction record for SmEr2Ir2. The XRD peak list is calculated, not measured: it uses a PBE-relaxed structure and Cu Kα (λ = 1.5418 Å).
Intensities are scaled so that the largest is 100.

Main lines, low angle first (15° ≤ 2θ ≤ 90°):
two_theta, I/Imax, index
21.4, 22, 1 0 0
37.0, 100, 0 1 2
37.5, 93, 1 1 0
53.7, 35, 2 0 2
66.3, 19, 1 0 4
67.3, 35, 1 2 2

Crystal structure
Cell lengths 4.798, 4.798, 5.992 Å; angles 90.00, 90.00, 120.00 degrees
Element x y z (fractional)
Sm 0.000 0.000 0.000
Er 0.333 0.667 0.661
Er 0.667 0.333 0.339
Ir 0.333 0.667 0.178
Ir 0.667 0.333 0.822